The following is a calculated XRD peak list of SrNi2P2H4O10. It was derived from DFT lattice parameters and positions (PBE+U), using CuKα.

Main lines, in order of falling intensity (10 to 90 degrees two-theta):
- 32.18 deg, I = 100
- 29.68 deg, I = 97
- 35.76 deg, I = 80
- 39.78 deg, I = 73
- 28.11 deg, I = 70
- 19.59 deg, I = 59
- 20.14 deg, I = 53
- 33.22 deg, I = 49
- 26.32 deg, I = 40
- 54.16 deg, I = 39
- 55.37 deg, I = 38
- 36.69 deg, I = 37

Crystal structure
Cell: 5.4442 5.4442 7.4339 Å, 109.88 109.88 68.14°
Fractional positions:
Sr  0.0000  0.0000  0.0000
Ni  0.0000  0.5000  0.5000
Ni  0.5000  0.0000  0.5000
P  0.4126  0.4126  0.2223
P  0.5874  0.5874  0.7777
H  0.0760  0.0760  0.6345
H  0.2547  0.2547  0.7943
H  0.7453  0.7453  0.2057
H  0.9240  0.9240  0.3655
O  0.1863  0.1863  0.6401
O  0.2694  0.6911  0.7269
O  0.2948  0.2948  0.0031
O  0.2986  0.2986  0.3378
O  0.3089  0.7306  0.2731
O  0.6911  0.2694  0.7269
O  0.7014  0.7014  0.6622
O  0.7052  0.7052  0.9969
O  0.7306  0.3089  0.2731
O  0.8137  0.8137  0.3599


The following is a calculated XRD peak list of K2NiP4O12. It was derived from DFT lattice parameters and positions (PBE+U), using CuKα.

Main lines, in order of falling intensity (10 to 90 degrees two-theta):
- 10.69 deg, I = 100
- 31.55 deg, I = 63
- 32.46 deg, I = 57
- 24.14 deg, I = 54
- 22.71 deg, I = 44
- 31.40 deg, I = 43
- 28.12 deg, I = 42
- 26.27 deg, I = 41
- 46.36 deg, I = 28
- 25.48 deg, I = 24
- 25.71 deg, I = 22
- 17.12 deg, I = 20

Crystal structure
Cell: 8.4588 8.4588 7.7729 Å, 98.33 98.33 97.22°
Fractional positions:
K  0.1261  0.8739  0.5000
K  0.5637  0.8340  0.3170
K  0.8340  0.5637  0.8170
K  0.8739  0.1261  0.0000
Ni  0.2080  0.5161  0.1539
Ni  0.5161  0.2080  0.6539
P  0.1827  0.3302  0.7450
P  0.1901  0.8666  0.9844
P  0.3302  0.1827  0.2450
P  0.4023  0.5528  0.5899
P  0.4983  0.8715  0.8279
P  0.5528  0.4023  0.0899
P  0.8666  0.1901  0.4844
P  0.8715  0.4983  0.3279
O  0.0212  0.8535  0.8895
O  0.0524  0.2427  0.5763
O  0.0975  0.3770  0.8980
O  0.2188  0.3073  0.2591
O  0.2326  0.7590  0.1170
O  0.2427  0.0524  0.0763
O  0.2500  0.4962  0.6824
O  0.3048  0.8545  0.8332
O  0.3073  0.2188  0.7591
O  0.3397  0.6325  0.4383
O  0.3770  0.0975  0.3980
O  0.4234  0.5072  0.0664
O  0.4962  0.2500  0.1824
O  0.5072  0.4234  0.5664
O  0.5134  0.6874  0.7451
O  0.5305  0.9749  0.6900
O  0.6010  0.9102  0.0053
O  0.6325  0.3397  0.9383
O  0.6874  0.5134  0.2451
O  0.7590  0.2326  0.6170
O  0.8535  0.0212  0.3895
O  0.8545  0.3048  0.3332
O  0.9102  0.6010  0.5053
O  0.9749  0.5305  0.1900


The following is a calculated XRD peak list of Mo3P4O16. It was derived from DFT lattice parameters and positions (PBE+U), using CuKα.

Main lines, in order of falling intensity (10 to 90 degrees two-theta):
- 26.16 deg, I = 100
- 19.99 deg, I = 91
- 20.31 deg, I = 77
- 22.95 deg, I = 63
- 23.36 deg, I = 59
- 32.09 deg, I = 57
- 35.37 deg, I = 45
- 34.79 deg, I = 42
- 25.27 deg, I = 38
- 50.13 deg, I = 36
- 32.32 deg, I = 34
- 21.15 deg, I = 33

Crystal structure
Cell: 8.7888 5.1570 15.5127 Å, 90.00 118.65 90.00°
Fractional positions:
Mo  0.0000  0.0000  0.0000
Mo  0.0000  0.5000  0.5000
Mo  0.3033  0.0302  0.2984
Mo  0.3033  0.4698  0.7984
Mo  0.6967  0.5302  0.2016
Mo  0.6967  0.9698  0.7016
P  0.0382  0.0009  0.6539
P  0.0382  0.4991  0.1539
P  0.4268  0.0050  0.1153
P  0.4268  0.4950  0.6153
P  0.5732  0.5050  0.3847
P  0.5732  0.9950  0.8847
P  0.9618  0.5009  0.8461
P  0.9618  0.9991  0.3461
O  0.0338  0.1610  0.5690
O  0.0338  0.3390  0.0690
O  0.0839  0.7101  0.6445
O  0.0839  0.7899  0.1445
O  0.1440  0.5271  0.8541
O  0.1440  0.9729  0.3541
O  0.1763  0.1100  0.7515
O  0.1763  0.3900  0.2515
O  0.2458  0.0236  0.0230
O  0.2458  0.4764  0.5230
O  0.4059  0.0051  0.2086
O  0.4059  0.4949  0.7086
O  0.4536  0.7196  0.3821
O  0.4536  0.7804  0.8821
O  0.5004  0.2342  0.3939
O  0.5004  0.2658  0.8939
O  0.4996  0.7342  0.1061
O  0.4996  0.7658  0.6061
O  0.5464  0.2196  0.1179
O  0.5464  0.2804  0.6179
O  0.5941  0.5051  0.2914
O  0.5941  0.9949  0.7914
O  0.7542  0.5236  0.4770
O  0.7542  0.9764  0.9770
O  0.8237  0.6100  0.7485
O  0.8237  0.8900  0.2485
O  0.8560  0.0271  0.6459
O  0.8560  0.4729  0.1459
O  0.9161  0.2101  0.8555
O  0.9161  0.2899  0.3555
O  0.9662  0.6610  0.9310
O  0.9662  0.8390  0.4310


The following is a calculated XRD peak list of CaCo3Si4O12. It was derived from DFT lattice parameters and positions (PBE+U), using CuKα.

Main lines, in order of falling intensity (10 to 90 degrees two-theta):
- 29.28 deg, I = 100
- 34.39 deg, I = 63
- 30.09 deg, I = 54
- 35.46 deg, I = 47
- 13.54 deg, I = 43
- 35.66 deg, I = 41
- 41.57 deg, I = 40
- 65.49 deg, I = 27
- 18.82 deg, I = 26
- 55.66 deg, I = 24
- 27.28 deg, I = 23
- 43.94 deg, I = 21

Crystal structure
Cell: 5.3066 6.7056 6.7103 Å, 85.09 77.20 77.29°
Fractional positions:
Ca  0.0000  0.0000  0.0000
Co  0.0016  0.3903  0.6111
Co  0.5006  0.1977  0.8031
Co  0.5015  0.5517  0.4499
Si  0.0006  0.9147  0.4981
Si  0.0030  0.5034  0.0867
Si  0.4927  0.1006  0.3219
Si  0.5113  0.6798  0.9006
O  0.1026  0.3269  0.9178
O  0.1184  0.6786  0.5639
O  0.2425  0.6342  0.0719
O  0.2492  0.9814  0.3234
O  0.3989  0.2688  0.5013
O  0.4224  0.9085  0.8126
O  0.5817  0.1888  0.0933
O  0.6045  0.5004  0.7323
O  0.7544  0.6780  0.0200
O  0.7605  0.9290  0.3684
O  0.8848  0.4376  0.3228
O  0.9017  0.0834  0.6748


The following is a calculated XRD peak list of Li2VCO5. It was derived from DFT lattice parameters and positions (PBE+U), using CuKα.

Main lines, in order of falling intensity (10 to 90 degrees two-theta):
- 18.91 deg, I = 100
- 17.49 deg, I = 67
- 30.55 deg, I = 36
- 29.65 deg, I = 31
- 35.87 deg, I = 28
- 35.41 deg, I = 28
- 36.48 deg, I = 26
- 44.62 deg, I = 23
- 42.15 deg, I = 22
- 45.38 deg, I = 20
- 63.60 deg, I = 14
- 46.23 deg, I = 11

Crystal structure
Cell: 2.9266 9.3892 12.0500 Å, 90.01 90.15 91.04°
Fractional positions:
Li  0.0000  0.0000  0.0000
Li  0.9998  0.5000  0.0628
Li  0.0020  0.9952  0.2815
Li  0.0051  0.4905  0.5000
Li  0.0071  0.4952  0.7813
Li  0.4908  0.9951  0.7816
Li  0.5016  0.4953  0.2814
Li  0.9974  0.9905  0.5629
V  0.4991  0.7522  0.3944
V  0.5042  0.2383  0.1684
V  0.5037  0.2521  0.6684
V  0.5048  0.7383  0.8944
C  0.5002  0.7619  0.1427
C  0.5012  0.2286  0.4201
C  0.5022  0.7285  0.6426
C  0.5025  0.2618  0.9202
O  0.0254  0.1123  0.1384
O  0.0268  0.6123  0.9244
O  0.0267  0.6225  0.3605
O  0.0394  0.3781  0.6382
O  0.4896  0.8631  0.6433
O  0.4923  0.1558  0.5132
O  0.4950  0.3347  0.0132
O  0.4949  0.8379  0.2345
O  0.4960  0.8348  0.0496
O  0.5010  0.1271  0.9196
O  0.5026  0.3634  0.4195
O  0.5074  0.6273  0.1433
O  0.5084  0.1526  0.3284
O  0.5100  0.6526  0.7345
O  0.5115  0.3379  0.8284
O  0.5108  0.6558  0.5496
O  0.9668  0.1229  0.7023
O  0.9754  0.8680  0.8605
O  0.9770  0.3680  0.2024
O  0.9774  0.8782  0.4245


The following is a calculated XRD peak list of Na2MnCdFeP3O12. It was derived from DFT lattice parameters and positions (PBE+U), using CuKα.

Main lines, in order of falling intensity (10 to 90 degrees two-theta):
- 32.17 deg, I = 100
- 10.48 deg, I = 56
- 31.91 deg, I = 51
- 24.80 deg, I = 41
- 34.34 deg, I = 33
- 30.26 deg, I = 22
- 30.14 deg, I = 20
- 56.05 deg, I = 20
- 34.59 deg, I = 18
- 30.70 deg, I = 17
- 32.65 deg, I = 16
- 20.49 deg, I = 16

Crystal structure
Cell: 6.6420 8.8562 8.9090 Å, 92.36 106.81 106.20°
Fractional positions:
Na  0.0000  0.0000  0.0000
Na  0.0056  0.2897  0.7107
Na  0.5037  0.2462  0.7558
Na  0.7582  0.7715  0.2280
Mn  0.3995  0.6459  0.8044
Mn  0.6121  0.1992  0.3531
Cd  0.2484  0.7748  0.2283
Cd  0.5067  0.5353  0.4654
Fe  0.1150  0.8862  0.6697
Fe  0.8945  0.3288  0.1163
P  0.0075  0.5531  0.4511
P  0.1278  0.1313  0.3922
P  0.3824  0.4020  0.0787
P  0.5024  0.9883  0.0090
P  0.6199  0.9238  0.5987
P  0.8899  0.6078  0.8689
O  0.0004  0.7266  0.4748
O  0.0144  0.5296  0.2764
O  0.0735  0.6725  0.7903
O  0.0904  0.9823  0.2812
O  0.1309  0.0887  0.5632
O  0.1611  0.2836  0.0853
O  0.2147  0.5226  0.5629
O  0.2945  0.0068  0.8820
O  0.3524  0.2599  0.4146
O  0.3537  0.4273  0.9037
O  0.4323  0.8685  0.6740
O  0.4353  0.5583  0.1903
O  0.4634  0.0054  0.1718
O  0.5420  0.8268  0.9936
O  0.5553  0.8098  0.4406
O  0.5771  0.3305  0.1379
O  0.6526  0.0991  0.5716
O  0.6627  0.5908  0.7451
O  0.7084  0.1183  0.9946
O  0.8002  0.4391  0.4771
O  0.8427  0.9117  0.7101
O  0.8806  0.4361  0.9134
O  0.9372  0.7219  0.0195
O  0.9380  0.2072  0.3233